Calculated powder diffractogram of Rb2NpAu2S6 for CuKα, from a cell relaxed with GGA-PBE.

Cell and atoms:
Unit cell a=7.4650 b=7.4650 c=20.0467 alpha=90.00 beta=90.00 gamma=120.00
Space group R-3m (No. 166, hexagonal axes)
One atom of each set of equivalent atoms:
Rb (0.0000, 0.0000, 0.2283) [6 per cell]
Np (0.0000, 0.0000, 0.0000) [3 per cell]
Au (0.0000, 0.0000, 0.4104) [6 per cell]
S (0.0294, 0.5147, 0.7464) [18 per cell]

Main lines, by angle (2θ = 15–90°):
2θ = 16.3°, rel. 41.0; 2θ = 23.8°, rel. 100.0; 2θ = 26.2°, rel. 71.9; 2θ = 35.7°, rel. 32.1; 2θ = 41.9°, rel. 22.9; 2θ = 43.4°, rel. 45.8; 2θ = 47.5°, rel. 13.9; 2θ = 48.8°, rel. 25.9; 2θ = 56.2°, rel. 17.9; 2θ = 66.2°, rel. 12.7